This entry pairs a crystal structure of CaHgMo2O8 with its theoretical X-ray powder pattern. Radiation: Cu Kα X-rays. Structure: the PBE+U geometry in Alexandria.

Atomic structure:
```
CaHgMo2O8
1.0
-3.698 3.698 3.420
3.698 -3.698 3.420
3.698 3.698 -3.420
Ca Hg Mo O
1 1 2 8
Cartesian
0.000 0.000 0.000
0.000 3.698 1.710
3.698 0.000 1.710
0.000 0.000 3.420
2.251 0.000 0.647
5.146 0.000 0.647
3.698 2.289 -1.119
3.698 -1.447 2.774
0.000 1.410 2.301
3.698 1.447 2.774
2.289 3.698 1.119
1.410 0.000 4.540
```

Peak list (10 most intense, 2θ from 15° to 90°, by angle)
2θ/deg	Rel. int.
16.95	24
17.66	23
24.06	100
31.25	87
34.29	22
47.07	64
49.28	17
59.53	32
70.52	16
80.83	26